No. 1
Starting from a structure optimized by DFT (PBE), the X-ray diffraction stick pattern of YHo6Tl4 was computed for a wavelength of 1.5418 Å.
Intensities are scaled so that the largest is 100.

Principal peaks in the range 5° ≤ 2θ ≤ 70°, in order of rising 2θ:
2theta  intensity  (hkl)
20.42  19  2 0 0
26.08  19  1 0 1
29.91  43  1 1 1
30.84  46  3 0 0
31.67  100  2 0 1
35.76  93  2 2 0
36.49  90  2 1 1
49.04  22  0 0 2
58.59  25  5 0 1
62.15  38  2 2 2

```
YHo6Tl4
1.0
10.0444 0.0000 0.0000
-5.0222 8.6987 0.0000
0.0000 0.0000 3.7155
Y Ho Tl
1 6 4
Direct
0.0000 0.0000 0.0000
0.0797 0.5398 0.0000
0.3821 0.1911 0.5000
0.4602 0.5398 0.0000
0.4602 0.9203 0.0000
0.8089 0.1911 0.5000
0.8089 0.6179 0.5000
0.1606 0.3211 0.5000
0.1606 0.8394 0.5000
0.6667 0.3333 0.0000
0.6789 0.8394 0.5000
```

=====

No. 2
Starting from a structure optimized by DFT (PBE), the X-ray diffraction stick pattern of Pa3H3Au was computed for a wavelength of 1.5418 Å.
Intensities are scaled so that the largest is 100.

Principal peaks in the range 5° ≤ 2θ ≤ 70°, in order of rising 2θ:
2theta  intensity  (hkl)
20.63  1  1 1 0
29.33  30  2 0 0
32.89  100  2 1 0
36.13  70  2 1 1
52.02  11  2 2 2
54.31  25  3 2 0
56.54  40  3 2 1
60.84  17  4 0 0
68.96  11  4 2 0

```
Pa3H3Au
1.0
6.0899 0.0000 0.0000
0.0000 6.0899 0.0000
0.0000 0.0000 6.0899
Pa H Au
6 6 2
Direct
0.0000 0.2500 0.5000
0.0000 0.7500 0.5000
0.2500 0.5000 0.0000
0.5000 0.0000 0.2500
0.5000 0.0000 0.7500
0.7500 0.5000 0.0000
0.0000 0.5000 0.2500
0.0000 0.5000 0.7500
0.2500 0.0000 0.5000
0.5000 0.2500 0.0000
0.5000 0.7500 0.0000
0.7500 0.0000 0.5000
0.0000 0.0000 0.0000
0.5000 0.5000 0.5000
```